Record 1
Computed PXRD pattern
Compound: NaSmFe4O12
Radiation: Cu Kα
Structure: the GGA+U geometry in the Materials Project
No peak broadening, texture or thermal motion is included.

The 10 most intense peaks (10° ≤ 2θ ≤ 90°), most intense first:
33.3°, I 1000
20.2°, I 605
47.8°, I 343
11.6°, I 286
16.5°, I 280
59.5°, I 250
39.3°, I 215
23.4°, I 201
69.8°, I 183
26.2°, I 182

Atomic structure:
```
NaSmFe4O12
1.0
5.3802 0.0000 0.0000
0.0000 5.3802 0.0000
0.0000 0.0000 7.6394
Na Sm Fe O
1 1 4 12
Cartesian
0.0000 0.0000 0.0000
2.6901 2.6901 3.8197
0.0000 2.6901 1.8738
0.0000 2.6901 5.7656
2.6901 0.0000 1.8738
2.6901 0.0000 5.7656
0.0000 2.6901 0.0000
0.0000 2.6901 3.8197
1.3970 1.3970 2.0147
1.3970 1.3970 5.6247
1.3970 3.9832 2.0147
1.3970 3.9832 5.6247
2.6901 0.0000 0.0000
2.6901 0.0000 3.8197
3.9832 1.3970 2.0147
3.9832 1.3970 5.6247
3.9832 3.9832 2.0147
3.9832 3.9832 5.6247
```

Record 2
Computed PXRD pattern
Compound: NaFeSnO4
Radiation: Cu Kα
Structure: the GGA+U geometry in the Materials Project
No peak broadening, texture or thermal motion is included.

The 10 most intense peaks (10° ≤ 2θ ≤ 90°), most intense first:
34.3°, I 1000
32.6°, I 846
18.5°, I 767
18.8°, I 687
59.2°, I 492
47.8°, I 467
32.1°, I 466
34.4°, I 460
48.3°, I 322
58.6°, I 307

Atomic structure:
```
NaFeSnO4
1.0
3.1211 0.0000 0.0000
0.0000 11.1506 0.0000
0.0000 0.0000 9.4585
Na Fe Sn O
4 4 4 16
Cartesian
0.0000 1.0715 0.0000
0.0000 10.0792 4.7292
1.5606 4.4704 4.8822
1.5606 6.6802 0.1529
1.5606 1.6114 6.4156
1.5606 4.0589 1.8338
1.5606 7.0917 6.5630
1.5606 9.5392 1.6863
0.0000 1.5339 3.0431
0.0000 3.9361 7.9710
0.0000 7.2145 3.2418
0.0000 9.6168 7.7724
0.0000 0.4024 6.9775
0.0000 2.9519 6.0928
0.0000 3.6240 3.1501
0.0000 4.5116 0.5305
0.0000 6.6391 5.2597
0.0000 7.5266 7.8793
0.0000 8.1988 1.3635
0.0000 10.7482 2.2482
1.5606 1.0638 4.4057
1.5606 1.9792 1.6841
1.5606 2.5541 8.3043
1.5606 5.2080 7.3928
1.5606 5.9426 2.6636
1.5606 8.5966 3.5751
1.5606 9.1714 6.4134
1.5606 10.0868 9.1349
```

Record 3
Computed PXRD pattern
Compound: NaSrYFeO6
Radiation: Cu Kα
Structure: the GGA+U geometry in the Materials Project
No peak broadening, texture or thermal motion is included.

The 10 most intense peaks (10° ≤ 2θ ≤ 90°), most intense first:
31.1°, I 1000
44.6°, I 417
55.3°, I 374
64.9°, I 235
18.9°, I 184
73.7°, I 171
21.9°, I 134
36.7°, I 127
82.1°, I 74
48.8°, I 70

Atomic structure:
```
NaSrYFeO6
1.0
0.0000 4.0661 4.0661
4.0661 0.0000 4.0661
4.0661 4.0661 0.0000
Na Sr Y Fe O
1 1 1 1 6
Cartesian
0.0000 0.0000 0.0000
4.0661 4.0661 4.0661
6.0992 6.0992 6.0992
2.0331 2.0331 2.0331
2.0331 2.0331 0.1678
2.0331 0.1678 2.0331
3.8983 2.0331 2.0331
0.1678 2.0331 2.0331
2.0331 3.8983 2.0331
2.0331 2.0331 3.8983
```

Record 4
Computed PXRD pattern
Compound: NaTiFeO4
Radiation: Cu Kα
Structure: the GGA+U geometry in the Materials Project
No peak broadening, texture or thermal motion is included.

The 10 most intense peaks (10° ≤ 2θ ≤ 90°), most intense first:
12.5°, I 1000
37.2°, I 486
35.8°, I 434
18.6°, I 409
30.4°, I 346
39.8°, I 328
31.9°, I 316
25.2°, I 268
43.9°, I 234
49.5°, I 232

Atomic structure:
```
NaTiFeO4
1.0
9.1250 0.0000 0.0000
0.0000 2.9499 0.0000
0.0000 0.0000 11.2276
Na Ti Fe O
4 4 4 16
Cartesian
0.9649 0.7375 1.2002
3.5975 2.2125 6.8140
5.5274 0.7375 4.4136
8.1600 2.2125 10.0274
2.0226 2.2125 9.3171
2.5399 0.7375 3.7033
6.5851 2.2125 7.5242
7.1024 0.7375 1.9105
0.0505 0.7375 6.8741
4.5120 2.2125 1.2603
4.6129 0.7375 9.9672
9.0745 2.2125 4.3535
0.9882 0.7375 5.1486
1.0604 2.2125 7.7071
1.1060 0.7375 10.1600
1.3290 2.2125 2.9985
3.2335 0.7375 8.6123
3.4565 2.2125 4.5462
3.5020 0.7375 2.0933
3.5743 2.2125 10.7624
5.5506 0.7375 0.4652
5.6229 2.2125 9.1343
5.6685 0.7375 6.6814
5.8915 2.2125 2.6153
7.7960 0.7375 8.2291
8.0190 2.2125 1.0676
8.0645 0.7375 3.5205
8.1368 2.2125 6.0790
```